# Tb4CePm3
Simulated PXRD pattern, Cu Kα, 1.54184 Å. Input: a cell relaxed with PBE.

Main lines, low angle first (5 to 70 degrees two-theta):
| d/Å | 2theta | intensity |
| --- | --- | --- |
| 2.932 | 30.49 | 100 |
| 2.919 | 30.63 | 33 |
| 2.536 | 35.39 | 67 |
| 1.797 | 50.82 | 24 |
| 1.791 | 51.01 | 24 |
| 1.532 | 60.44 | 24 |
| 1.529 | 60.54 | 19 |
| 1.526 | 60.68 | 14 |

Atomic structure:
Cell lengths 6.2272, 3.5910, 11.8625 Å; angles 90.00, 100.17, 90.00 degrees
Space group P2/m (No. 10)
Asymmetric unit:
Tb (0.2458, 0.0000, 0.2466) x2
Tb (0.2468, 0.5000, 0.7514) x2
Ce (0.0000, 0.5000, 0.0000) x1
Pm (0.0000, 0.0000, 0.5000) x1
Pm (0.5000, 0.0000, 0.0000) x1
Pm (0.5000, 0.5000, 0.5000) x1

---

# Na2TeAsSe4
Simulated PXRD pattern, Cu Kα, 1.54184 Å. Input: a cell relaxed with PBE.

Main lines, low angle first (5 to 70 degrees two-theta):
| d/Å | 2theta | intensity |
| --- | --- | --- |
| 7.295 | 12.13 | 45 |
| 5.353 | 16.56 | 36 |
| 4.389 | 20.23 | 39 |
| 3.059 | 29.20 | 100 |
| 3.026 | 29.52 | 81 |
| 2.999 | 29.79 | 89 |
| 2.225 | 40.54 | 37 |
| 2.113 | 42.79 | 35 |

Atomic structure:
Cell lengths 4.5792, 7.0076, 7.4052 Å; angles 80.12, 86.38, 73.47 degrees
Space group P1 (No. 1)
Asymmetric unit:
Na (0.0000, 0.0000, 0.0000) x1
Na (0.2326, 0.5563, 0.7380) x1
Te (0.7026, 0.4793, 0.2357) x1
As (0.5672, 0.9762, 0.5013) x1
Se (0.0279, 0.7654, 0.3702) x1
Se (0.3711, 0.2961, 0.1092) x1
Se (0.6009, 0.8220, 0.8229) x1
Se (0.7660, 0.2587, 0.5636) x1

---

# LuZrPb2
Simulated PXRD pattern, Cu Kα, 1.54184 Å. Input: a cell relaxed with PBE.

Main lines, low angle first (5 to 70 degrees two-theta):
| d/Å | 2theta | intensity |
| --- | --- | --- |
| 2.766 | 32.37 | 100 |
| 2.570 | 34.91 | 27 |
| 2.349 | 38.32 | 63 |
| 1.711 | 53.57 | 25 |
| 1.616 | 57.00 | 19 |
| 1.455 | 64.00 | 14 |
| 1.424 | 65.56 | 26 |
| 1.383 | 67.77 | 12 |

Atomic structure:
Cell lengths 3.4212, 3.4212, 30.8399 Å; angles 90.00, 90.00, 120.00 degrees
Space group R-3m (No. 166, hexagonal axes)
Asymmetric unit:
Lu (0.0000, 0.0000, 0.0000) x3
Zr (0.0000, 0.0000, 0.5000) x3
Pb (0.0000, 0.0000, 0.2472) x6

---

# Ho3Ge2Os
Simulated PXRD pattern, Cu Kα, 1.54184 Å. Input: a cell relaxed with PBE.

Main lines, low angle first (5 to 70 degrees two-theta):
| d/Å | 2theta | intensity |
| --- | --- | --- |
| 8.082 | 10.95 | 31 |
| 2.911 | 30.72 | 40 |
| 2.782 | 32.17 | 100 |
| 2.545 | 35.26 | 80 |
| 2.350 | 38.30 | 60 |
| 2.159 | 41.84 | 48 |
| 2.098 | 43.11 | 55 |
| 1.478 | 62.88 | 32 |

Atomic structure:
Cell lengths 11.7336, 4.1966, 11.1472 Å; angles 90.00, 90.00, 90.00 degrees
Space group Pnma (No. 62)
Asymmetric unit:
Ho (0.0551, 0.2500, 0.1262) x4
Ho (0.1211, 0.7500, 0.5549) x4
Ho (0.2267, 0.2500, 0.7945) x4
Ge (0.0092, 0.7500, 0.3097) x4
Ge (0.1895, 0.7500, 0.9986) x4
Os (0.1288, 0.2500, 0.3707) x4

---

# AlZnCd
Simulated PXRD pattern, Cu Kα, 1.54184 Å. Input: a cell relaxed with PBE.

Main lines, low angle first (5 to 70 degrees two-theta):
| d/Å | 2theta | intensity |
| --- | --- | --- |
| 15.129 | 5.84 | 100 |
| 5.043 | 17.59 | 53 |
| 2.521 | 35.62 | 58 |
| 2.479 | 36.23 | 28 |
| 2.385 | 37.72 | 83 |
| 2.249 | 40.09 | 86 |
| 2.093 | 43.22 | 49 |
| 1.451 | 64.19 | 27 |

Atomic structure:
Cell lengths 15.1286, 2.8992, 5.0305 Å; angles 90.00, 90.00, 90.00 degrees
Space group Amm2 (No. 38)
Asymmetric unit:
Al (0.1502, 0.0000, 0.0000) x4
Zn (0.0000, 0.0000, 0.6660) x2
Zn (0.5000, 0.0000, 0.6756) x2
Cd (0.3294, 0.0000, 0.3410) x4

---

# Tb5Nd4In2
Simulated PXRD pattern, Cu Kα, 1.54184 Å. Input: a cell relaxed with PBE.

Main lines, low angle first (5 to 70 degrees two-theta):
| d/Å | 2theta | intensity |
| --- | --- | --- |
| 15.791 | 5.60 | 32 |
| 4.548 | 19.52 | 21 |
| 2.849 | 31.40 | 100 |
| 2.719 | 32.94 | 28 |
| 2.638 | 33.98 | 95 |
| 1.936 | 46.94 | 33 |
| 1.561 | 59.21 | 33 |
| 1.523 | 60.82 | 18 |

Atomic structure:
Cell lengths 5.2761, 5.2761, 47.3722 Å; angles 90.00, 90.00, 120.00 degrees
Space group R-3m (No. 166, hexagonal axes)
Asymmetric unit:
Tb (0.0000, 0.0000, 0.0000) x3
Tb (0.0000, 0.0000, 0.1485) x6
Tb (0.0000, 0.0000, 0.3030) x6
Nd (0.0000, 0.0000, 0.0733) x6
Nd (0.0000, 0.0000, 0.2258) x6
In (0.0000, 0.0000, 0.3777) x6